KNa3Al4Si4O16: computed X-ray powder pattern (copper Kα), based on a crystal structure in Alexandria, relaxed with GGA-PBE.
Intensities are scaled so that the largest is 100.

Cell lengths 8.5081, 10.0662, 10.1584 Å; angles 61.10, 89.65, 89.71 degrees
Fractional coordinates of all 56 atoms:
K 0.0000 0.0000 0.0000
K 0.5000 0.0225 0.9800
Na 0.4834 0.9933 0.4214
Na 0.4922 0.4365 0.5411
Na 0.4980 0.5635 0.9649
Na 0.9848 0.5700 0.4407
Na 0.9947 0.4431 0.9851
Na 0.9990 0.0038 0.5341
Al 0.1817 0.9012 0.3234
Al 0.2996 0.6564 0.6500
Al 0.3009 0.2417 0.0859
Al 0.3047 0.1018 0.6467
Al 0.7932 0.9051 0.3230
Al 0.7990 0.7648 0.8795
Al 0.8017 0.3497 0.3199
Al 0.8082 0.3258 0.7501
Si 0.1744 0.3309 0.7491
Si 0.1779 0.3488 0.3205
Si 0.1800 0.7612 0.8845
Si 0.3023 0.6706 0.2169
Si 0.6646 0.6744 0.2127
Si 0.6813 0.1021 0.6398
Si 0.6808 0.2432 0.0891
Si 0.6815 0.6522 0.6485
O 0.0004 0.2785 0.7240
O 0.1739 0.7544 0.2688
O 0.1867 0.2958 0.9232
O 0.1908 0.9426 0.7682
O 0.1964 0.5125 0.6330
O 0.2085 0.3444 0.1650
O 0.2210 0.1862 0.4659
O 0.2580 0.6537 0.8232
O 0.2602 0.8352 0.5027
O 0.2855 0.7250 0.0366
O 0.2923 0.4842 0.3201
O 0.3008 0.0459 0.1919
O 0.3090 0.2322 0.7161
O 0.4814 0.7166 0.2408
O 0.4981 0.6011 0.6575
O 0.4993 0.3042 0.0419
O 0.5001 0.0481 0.6358
O 0.6720 0.0629 0.2128
O 0.6724 0.2307 0.6950
O 0.6755 0.7184 0.0359
O 0.6881 0.4938 0.3273
O 0.7098 0.8201 0.5045
O 0.7266 0.6532 0.8047
O 0.7608 0.1702 0.4727
O 0.7702 0.3461 0.1508
O 0.7819 0.2622 0.9430
O 0.7853 0.7780 0.2476
O 0.7884 0.5235 0.6337
O 0.7912 0.9602 0.7564
O 0.9866 0.9563 0.3230
O 0.9970 0.7143 0.9337
O 0.9979 0.4001 0.3288

Principal peaks in the range 15 to 90 degrees two-theta, by angle:
20.88 deg, I = 92; 22.56 deg, I = 58; 22.73 deg, I = 63; 22.88 deg, I = 37; 26.56 deg, I = 41; 26.95 deg, I = 41; 28.99 deg, I = 49; 29.13 deg, I = 97; 29.24 deg, I = 100; 29.45 deg, I = 47; 37.72 deg, I = 72; 42.50 deg, I = 37